1.
CrCoP: calculated X-ray powder pattern (λ = 1.5418 Å (Cu Kα)), based on a DFT-relaxed cell (GGA-PBE, the Materials Project).
Kinematic intensities with the Lorentz-polarization factor, no thermal factor.

Cell and atoms:
a = 5.730 Å, b = 3.524 Å, c = 6.682 Å
α = 90.00°, β = 90.00°, γ = 90.00°
Fractional coordinates of all 12 atoms:
Cr 0.027 0.250 0.173
Cr 0.473 0.750 0.673
Cr 0.527 0.250 0.327
Cr 0.973 0.750 0.827
Co 0.143 0.250 0.564
Co 0.357 0.750 0.064
Co 0.643 0.250 0.936
Co 0.857 0.750 0.436
P 0.239 0.750 0.377
P 0.261 0.250 0.877
P 0.739 0.750 0.123
P 0.761 0.250 0.623

Largest 8 diffraction maxima, in order of rising 2θ, 10 to 90 degrees two-theta:
40.4°, rel. 100
40.6°, rel. 51
42.9°, rel. 79
43.6°, rel. 31
48.3°, rel. 40
49.6°, rel. 30
51.9°, rel. 45
81.2°, rel. 20

2.
Cs2Na6Al6Ge7O30: calculated X-ray powder pattern (λ = 1.5418 Å (Cu Kα)), based on a DFT-relaxed cell (GGA-PBE, the Materials Project).
Kinematic intensities with the Lorentz-polarization factor, no thermal factor.

Cell and atoms:
a = 13.024 Å, b = 13.024 Å, c = 5.246 Å
α = 90.00°, β = 90.00°, γ = 120.00°
Fractional coordinates of all 51 atoms:
Cs 0.000 0.000 0.000
Cs 0.333 0.667 0.499
Na 0.389 0.195 0.007
Na 0.532 0.067 0.492
Na 0.535 0.468 0.492
Na 0.805 0.194 0.007
Na 0.806 0.611 0.007
Na 0.933 0.465 0.492
Al 0.003 0.252 0.491
Al 0.084 0.669 0.991
Al 0.249 0.997 0.491
Al 0.331 0.415 0.991
Al 0.585 0.916 0.991
Al 0.748 0.751 0.491
Ge 0.000 0.751 0.491
Ge 0.084 0.418 0.991
Ge 0.249 0.249 0.491
Ge 0.333 0.916 0.991
Ge 0.582 0.667 0.991
Ge 0.667 0.333 0.910
Ge 0.751 0.000 0.491
O 0.040 0.660 0.314
O 0.046 0.384 0.317
O 0.050 0.526 0.888
O 0.096 0.903 0.443
O 0.097 0.193 0.443
O 0.236 0.473 0.942
O 0.237 0.764 0.942
O 0.282 0.140 0.389
O 0.288 0.283 0.816
O 0.293 0.007 0.814
O 0.338 0.954 0.317
O 0.340 0.379 0.314
O 0.474 0.524 0.888
O 0.476 0.950 0.888
O 0.527 0.763 0.942
O 0.550 0.300 0.662
O 0.578 0.208 0.133
O 0.616 0.662 0.317
O 0.621 0.960 0.314
O 0.630 0.422 0.133
O 0.700 0.249 0.662
O 0.713 0.707 0.814
O 0.717 0.006 0.816
O 0.751 0.450 0.662
O 0.792 0.370 0.133
O 0.807 0.904 0.443
O 0.858 0.718 0.389
O 0.860 0.142 0.389
O 0.993 0.287 0.814
O 0.994 0.712 0.816

Largest 8 diffraction maxima, in order of rising 2θ, 10 to 90 degrees two-theta:
23.2°, rel. 31
23.7°, rel. 41
27.0°, rel. 100
31.7°, rel. 22
34.2°, rel. 19
36.5°, rel. 15
38.8°, rel. 17
50.9°, rel. 17

3.
Sm4Ag2Se7: calculated X-ray powder pattern (λ = 1.5418 Å (Cu Kα)), based on a DFT-relaxed cell (GGA-PBE, the Materials Project).
Kinematic intensities with the Lorentz-polarization factor, no thermal factor.

Cell and atoms:
a = 7.410 Å, b = 12.425 Å, c = 7.790 Å
α = 90.00°, β = 108.84°, γ = 90.00°
Fractional coordinates of all 26 atoms:
Sm 0.000 0.055 0.000
Sm 0.000 0.945 0.500
Sm 0.437 0.143 0.793
Sm 0.437 0.857 0.293
Sm 0.632 0.216 0.343
Sm 0.632 0.784 0.843
Sm 0.937 0.368 0.797
Sm 0.937 0.632 0.297
Ag 0.161 0.319 0.341
Ag 0.161 0.681 0.841
Ag 0.574 0.449 0.012
Ag 0.574 0.551 0.512
Se 0.013 0.168 0.643
Se 0.013 0.832 0.143
Se 0.277 0.069 0.370
Se 0.277 0.931 0.870
Se 0.312 0.300 0.044
Se 0.312 0.700 0.544
Se 0.507 0.340 0.606
Se 0.507 0.660 0.106
Se 0.685 0.012 0.177
Se 0.685 0.988 0.677
Se 0.798 0.248 0.041
Se 0.798 0.752 0.541
Se 0.872 0.424 0.417
Se 0.872 0.576 0.917

Largest 8 diffraction maxima, in order of rising 2θ, 10 to 90 degrees two-theta:
24.4°, rel. 27
24.7°, rel. 27
31.7°, rel. 53
31.9°, rel. 46
32.3°, rel. 44
32.4°, rel. 100
32.7°, rel. 30
39.2°, rel. 35

4.
ZnTe: calculated X-ray powder pattern (λ = 1.5418 Å (Cu Kα)), based on a DFT-relaxed cell (GGA-PBE, the Materials Project).
Kinematic intensities with the Lorentz-polarization factor, no thermal factor.

Cell and atoms:
a = 4.352 Å, b = 4.352 Å, c = 9.780 Å
α = 90.00°, β = 90.00°, γ = 120.00°
Fractional coordinates of all 6 atoms:
Zn 0.000 0.477 0.167
Zn 0.477 0.000 0.833
Zn 0.523 0.523 0.500
Te 0.000 0.492 0.667
Te 0.492 0.000 0.333
Te 0.508 0.508 0.000

Largest 8 diffraction maxima, in order of rising 2θ, 10 to 90 degrees two-theta:
23.6°, rel. 22
29.9°, rel. 100
44.2°, rel. 34
45.6°, rel. 30
48.3°, rel. 29
56.6°, rel. 16
68.6°, rel. 17
77.4°, rel. 14

5.
HgF2: calculated X-ray powder pattern (λ = 1.5418 Å (Cu Kα)), based on a DFT-relaxed cell (GGA-PBE, the Materials Project).
Kinematic intensities with the Lorentz-polarization factor, no thermal factor.

Cell and atoms:
a = 5.653 Å, b = 5.653 Å, c = 5.653 Å
α = 90.00°, β = 90.00°, γ = 90.00°
Fractional coordinates of all 12 atoms:
Hg 0.000 0.000 0.000
Hg 0.000 0.500 0.500
Hg 0.500 0.000 0.500
Hg 0.500 0.500 0.000
F 0.250 0.250 0.250
F 0.250 0.250 0.750
F 0.250 0.750 0.250
F 0.250 0.750 0.750
F 0.750 0.250 0.250
F 0.750 0.250 0.750
F 0.750 0.750 0.250
F 0.750 0.750 0.750

Largest 8 diffraction maxima, in order of rising 2θ, 10 to 90 degrees two-theta:
27.3°, rel. 100
31.7°, rel. 33
45.4°, rel. 55
53.8°, rel. 48
56.4°, rel. 10
72.9°, rel. 20
75.2°, rel. 13
83.8°, rel. 18

6.
TmInO3: calculated X-ray powder pattern (λ = 1.5418 Å (Cu Kα)), based on a DFT-relaxed cell (GGA-PBE, the Materials Project).
Kinematic intensities with the Lorentz-polarization factor, no thermal factor.

Cell and atoms:
a = 5.788 Å, b = 8.290 Å, c = 5.460 Å
α = 90.00°, β = 90.00°, γ = 90.00°
Fractional coordinates of all 20 atoms:
Tm 0.065 0.250 0.026
Tm 0.435 0.750 0.526
Tm 0.565 0.250 0.474
Tm 0.935 0.750 0.974
In 0.000 0.000 0.500
In 0.000 0.500 0.500
In 0.500 0.000 0.000
In 0.500 0.500 0.000
O 0.078 0.750 0.347
O 0.190 0.581 0.813
O 0.190 0.919 0.813
O 0.310 0.081 0.313
O 0.310 0.419 0.313
O 0.422 0.250 0.847
O 0.578 0.750 0.153
O 0.690 0.581 0.687
O 0.690 0.919 0.687
O 0.810 0.081 0.187
O 0.810 0.419 0.187
O 0.922 0.250 0.653

Largest 8 diffraction maxima, in order of rising 2θ, 10 to 90 degrees two-theta:
30.9°, rel. 18
31.2°, rel. 100
32.8°, rel. 26
43.7°, rel. 12
45.7°, rel. 15
51.4°, rel. 11
55.7°, rel. 11
57.6°, rel. 19

7.
MnCoCu4Sn2S8: calculated X-ray powder pattern (λ = 1.5418 Å (Cu Kα)), based on a DFT-relaxed cell (GGA-PBE, the Materials Project).
Kinematic intensities with the Lorentz-polarization factor, no thermal factor.

Cell and atoms:
a = 5.435 Å, b = 6.675 Å, c = 10.181 Å
α = 90.25°, β = 105.47°, γ = 114.00°
Fractional coordinates of all 16 atoms:
Mn 0.000 0.000 0.000
Co 0.500 0.500 0.500
Cu 0.128 0.875 0.377
Cu 0.249 0.748 0.749
Cu 0.622 0.375 0.874
Cu 0.751 0.251 0.252
Sn 0.374 0.625 0.127
Sn 0.876 0.125 0.623
S 0.049 0.682 0.926
S 0.183 0.558 0.327
S 0.339 0.455 0.687
S 0.454 0.305 0.061
S 0.544 0.196 0.429
S 0.669 0.060 0.817
S 0.831 0.953 0.197
S 0.932 0.789 0.559

Largest 8 diffraction maxima, in order of rising 2θ, 10 to 90 degrees two-theta:
28.4°, rel. 100
33.0°, rel. 10
47.2°, rel. 39
47.3°, rel. 19
55.9°, rel. 14
56.1°, rel. 27
76.2°, rel. 11
88.0°, rel. 12

8.
ScB12: calculated X-ray powder pattern (λ = 1.5418 Å (Cu Kα)), based on a DFT-relaxed cell (GGA-PBE, the Materials Project).
Kinematic intensities with the Lorentz-polarization factor, no thermal factor.

Cell and atoms:
a = 5.241 Å, b = 5.241 Å, c = 5.241 Å
α = 60.00°, β = 60.00°, γ = 60.00°
Fractional coordinates of all 13 atoms:
Sc 0.000 0.000 0.000
B 0.161 0.500 0.500
B 0.161 0.500 0.839
B 0.161 0.839 0.500
B 0.500 0.161 0.500
B 0.500 0.161 0.839
B 0.500 0.500 0.161
B 0.500 0.500 0.839
B 0.500 0.839 0.161
B 0.500 0.839 0.500
B 0.839 0.161 0.500
B 0.839 0.500 0.161
B 0.839 0.500 0.500

Largest 8 diffraction maxima, in order of rising 2θ, 10 to 90 degrees two-theta:
20.8°, rel. 14
24.0°, rel. 44
40.4°, rel. 100
42.2°, rel. 31
53.9°, rel. 17
61.3°, rel. 25
76.0°, rel. 26
77.2°, rel. 23

What is the formula in the first record? CrCoP